Computed powder diffraction line list
Compound: Ac4Ge2Te
Radiation: a wavelength of 1.5418 Å
Structure: a cell relaxed with GGA-PBE
Lines closer than 0.1° are merged.

Most intense lines, 2θ from 10° to 90°, most intense first:
2theta  I/Imax  index
28.5  100  3 0 1
29.0  52  1 0 3
33.9  42  3 2 1
34.0  41  3 1 2
25.7  25  2 0 2
46.7  24  4 3 1

Structure:
```
data_Ac4Ge2Te
_chemical_formula_sum 'Ac16 Ge8 Te4'
_space_group_name_H-M_alt 'I -4 2 d'
_space_group_IT_number 122
_space_group_name_Hall 'I -4 2bw'
_cell_length_a 9.9153
_cell_length_b 9.9153
_cell_length_c 9.7160
_cell_angle_alpha 90.00
_cell_angle_beta 90.00
_cell_angle_gamma 90.00
loop_
_atom_site_label
_atom_site_type_symbol
_atom_site_fract_x
_atom_site_fract_y
_atom_site_fract_z
Ac1 Ac 0.0696 0.6769 0.4329
Ge1 Ge 0.1365 0.7500 0.1250
Te1 Te 0.0000 0.0000 0.5000
```